Starting from DFT lattice parameters and positions (PBE), the powder diffraction line list of Ca5Te3O14 was computed for Cu Kα (λ = 1.5418 Å).
No peak broadening, texture or thermal motion is included.

Cell and atoms:
```
Ca5Te3O14
1.0
5.2841 -5.2630 0.0000
5.2841 5.2630 0.0000
0.0000 0.0000 10.6017
Ca Te O
10 6 28
Cartesian
0.0000 0.0000 0.0000
2.6420 0.1859 7.9513
5.2841 2.6841 8.1931
5.2841 2.5788 2.8923
2.6420 -0.1859 2.6504
5.2841 0.0000 5.3009
7.9261 0.1859 7.9513
5.2841 -2.5788 7.7094
5.2841 -2.6841 2.4086
7.9261 -0.1859 2.6504
0.0000 0.0000 5.3009
2.6420 2.6315 0.0000
2.6420 2.6315 5.3009
2.6420 -2.6315 0.0000
2.6420 -2.6315 5.3009
5.2841 0.0000 0.0000
1.3447 1.2683 5.9887
1.7369 1.3841 1.1920
3.7736 3.3771 1.3755
5.2841 4.6858 7.1045
3.7736 1.8858 6.6764
3.5472 1.3841 4.1089
1.3447 -1.2683 4.6131
3.9394 1.2683 9.9139
1.7369 -1.3841 9.4097
6.7946 3.3771 1.3755
5.2841 0.5772 1.8037
6.7946 1.8858 6.6764
3.5472 -1.3841 6.4929
3.9394 -1.2683 0.6878
6.6287 1.2683 9.9139
7.0210 1.3841 4.1089
3.7736 -1.8858 3.9253
5.2841 -0.5772 8.7981
3.7736 -3.3771 9.2262
8.8312 1.3841 1.1920
6.6287 -1.2683 0.6878
9.2235 1.2683 5.9887
7.0210 -1.3841 6.4929
6.7946 -1.8858 3.9253
5.2841 -4.6858 3.4972
6.7946 -3.3771 9.2262
8.8312 -1.3841 9.4097
9.2235 -1.2683 4.6131
```

Most intense lines, 2θ from 10° to 90°, most intense first:
d = 3.050 Å, intensity 1000; d = 1.866 Å, intensity 315; d = 5.299 Å, intensity 267; d = 3.731 Å, intensity 262; d = 6.100 Å, intensity 157; d = 1.871 Å, intensity 153



Starting from DFT lattice parameters and positions (PBE), the powder diffraction line list of CaTe2O7 was computed for Cu Kα (λ = 1.5418 Å).
No peak broadening, texture or thermal motion is included.

Cell and atoms:
```
CaTe2O7
1.0
7.2651 0.0000 0.0000
0.0000 7.4642 0.0000
-2.2239 0.0000 7.2784
Ca Te O
2 4 14
Cartesian
1.3077 0.0000 0.6257
3.7335 3.7321 6.6526
0.3899 6.7825 4.3801
2.2656 3.5979 0.5051
2.7756 7.3300 6.7733
4.6513 3.0504 2.8983
-0.4695 5.2021 4.2482
0.7973 2.5468 0.1283
-0.2000 0.4195 5.7184
0.9486 0.1900 2.8819
1.6760 5.2269 1.0436
1.3167 3.5944 6.4843
2.8798 2.6086 2.0592
2.1614 6.3407 5.2191
3.7245 7.3265 0.7941
3.3651 1.4948 6.2348
4.0926 3.9221 4.3964
5.2412 4.1516 1.5600
4.2438 6.2789 7.1501
5.5106 1.4700 3.0301
```

Most intense lines, 2θ from 10° to 90°, most intense first:
d = 4.663 Å, intensity 1000; d = 3.732 Å, intensity 474; d = 5.211 Å, intensity 382; d = 3.698 Å, intensity 374; d = 3.804 Å, intensity 353; d = 3.474 Å, intensity 320